Computed powder diffraction line list
Compound: K2Li2NiO4
Radiation: Cu Kα (weighted mean of Kα1 and Kα2)
Structure: DFT lattice parameters and positions (GGA+U)
Kinematic intensities with the Lorentz-polarization factor, no thermal factor.

Main lines, by angle (2θ from 15° to 90°):
2θ 17.15, rel. 438, hkl 1 0 -1; 2θ 17.36, rel. 459, hkl 0 0 2; 2θ 19.69, rel. 1000, hkl 0 2 0; 2θ 21.34, rel. 714, hkl 1 -1 1; 2θ 21.99, rel. 544, hkl 1 1 1; 2θ 26.23, rel. 758, hkl 1 2 -1; 2θ 30.71, rel. 598, hkl 0 3 -1; 2θ 32.37, rel. 585, hkl 2 0 0; 2θ 34.69, rel. 928, hkl 2 0 -2; 2θ 34.81, rel. 510, hkl 1 2 -3; 2θ 35.13, rel. 999, hkl 0 0 4; 2θ 59.77, rel. 422, hkl 2 0 -6

Structure:
a b c (Å): 5.5847 9.0193 10.3185
angles (deg): 92.00 97.86 91.02
Space group P1 (No. 1)
Inequivalent atoms, fractional coordinates:
K: 0.0000 0.0000 0.0000 (multiplicity 1)
K: 0.0153 0.8756 0.5631 (multiplicity 1)
K: 0.3185 0.5354 0.7508 (multiplicity 1)
K: 0.3460 0.8449 0.2688 (multiplicity 1)
K: 0.4984 0.1334 0.5261 (multiplicity 1)
K: 0.5483 0.3186 0.0026 (multiplicity 1)
K: 0.8346 0.6403 0.2496 (multiplicity 1)
K: 0.9256 0.2648 0.7393 (multiplicity 1)
Li: 0.0893 0.3483 0.1683 (multiplicity 1)
Li: 0.3050 0.5669 0.0811 (multiplicity 1)
Li: 0.4064 0.7944 0.9598 (multiplicity 1)
Li: 0.5016 0.3280 0.3016 (multiplicity 1)
Li: 0.5901 0.0873 0.1812 (multiplicity 1)
Li: 0.6229 0.7808 0.7067 (multiplicity 1)
Li: 0.7908 0.5698 0.5781 (multiplicity 1)
Li: 0.9117 0.3683 0.4272 (multiplicity 1)
Ni: 0.0017 0.1265 0.3159 (multiplicity 1)
Ni: 0.3691 0.5522 0.4383 (multiplicity 1)
Ni: 0.4829 0.0173 0.8208 (multiplicity 1)
Ni: 0.8860 0.5994 0.9404 (multiplicity 1)
O: 0.0074 0.1704 0.4869 (multiplicity 1)
O: 0.0591 0.4299 0.9810 (multiplicity 1)
O: 0.0771 0.5604 0.4884 (multiplicity 1)
O: 0.0973 0.7249 0.0385 (multiplicity 1)
O: 0.2854 0.1545 0.2433 (multiplicity 1)
O: 0.3166 0.5101 0.2615 (multiplicity 1)
O: 0.3304 0.8433 0.7765 (multiplicity 1)
O: 0.3961 0.1971 0.7738 (multiplicity 1)
O: 0.5090 0.0114 0.0002 (multiplicity 1)
O: 0.5351 0.7132 0.5136 (multiplicity 1)
O: 0.5946 0.4144 0.4808 (multiplicity 1)
O: 0.5976 0.6204 0.0020 (multiplicity 1)
O: 0.7519 0.9849 0.7450 (multiplicity 1)
O: 0.8054 0.2793 0.2388 (multiplicity 1)
O: 0.8121 0.5923 0.7654 (multiplicity 1)
O: 0.8428 0.9509 0.2797 (multiplicity 1)